(1)
The following is a calculated PXRD pattern of NiBi2O6. It was derived from a cell relaxed with GGA+U, using copper Kα.

Top 10 peaks for 10° ≤ 2θ ≤ 90°, in order of rising 2θ:
Position (°2θ)	d [Å]	intensity
20.15	4.406	26.3
25.60	3.480	100.0
32.69	2.739	87.7
36.52	2.460	27.3
49.82	1.830	70.1
52.61	1.740	16.5
59.39	1.556	17.1
62.32	1.490	17.1
63.33	1.469	20.3
75.37	1.261	15.8

Cell and atoms:
Cell lengths 4.9209, 4.9209, 9.8921 Å; angles 90.00, 90.00, 90.00 degrees
Atoms (fractional coordinates):
Ni 0.0000 0.0000 0.0000
Ni 0.5000 0.5000 0.5000
Bi 0.0000 0.0000 0.3328
Bi 0.0000 0.0000 0.6672
Bi 0.5000 0.5000 0.1672
Bi 0.5000 0.5000 0.8328
O 0.1897 0.1897 0.1621
O 0.1897 0.1897 0.8379
O 0.1997 0.1997 0.5000
O 0.3003 0.6997 0.0000
O 0.3103 0.6897 0.3379
O 0.3103 0.6897 0.6621
O 0.6897 0.3103 0.3379
O 0.6897 0.3103 0.6621
O 0.6997 0.3003 0.0000
O 0.8003 0.8003 0.5000
O 0.8103 0.8103 0.1621
O 0.8103 0.8103 0.8379

=====

(2)
The following is a calculated PXRD pattern of BaYMgCrCuO5. It was derived from a cell relaxed with GGA+U, using copper Kα.

Top 10 peaks for 10° ≤ 2θ ≤ 90°, in order of rising 2θ:
Position (°2θ)	d [Å]	intensity
22.30	3.986	22.4
27.30	3.267	57.0
28.87	3.093	100.0
31.74	2.819	83.4
35.53	2.527	71.4
42.35	2.134	42.3
45.51	1.993	58.2
53.88	1.702	30.4
54.79	1.675	32.0
59.02	1.565	31.9

Cell and atoms:
Cell lengths 3.9864, 3.9864, 9.8016 Å; angles 90.05, 90.05, 89.99 degrees
Atoms (fractional coordinates):
Ba 0.0000 0.0000 0.0000
Y 0.0005 0.0005 0.3591
Mg 0.0003 0.0003 0.6624
Cr 0.5003 0.5003 0.6625
Cu 0.5004 0.5004 0.2251
O 0.0001 0.5003 0.2566
O 0.0002 0.5002 0.6133
O 0.5003 0.0001 0.2566
O 0.5002 0.0002 0.6133
O 0.5003 0.5003 0.9278

=====

(3)
The following is a calculated PXRD pattern of Li7Mn5O12. It was derived from a cell relaxed with GGA+U, using copper Kα.

Top 10 peaks for 10° ≤ 2θ ≤ 90°, in order of rising 2θ:
Position (°2θ)	d [Å]	intensity
18.33	4.841	100.0
35.37	2.538	30.0
36.42	2.467	10.5
42.72	2.117	64.9
44.54	2.034	27.6
56.47	1.630	9.2
62.17	1.493	9.5
63.30	1.469	16.2
63.55	1.464	15.7
79.64	1.204	10.7

Cell and atoms:
Cell lengths 7.9049, 7.9049, 10.1339 Å; angles 111.00, 111.00, 21.77 degrees
Atoms (fractional coordinates):
Li 0.0000 0.0000 0.0000
Li 0.1582 0.1582 0.9194
Li 0.1685 0.1685 0.4161
Li 0.4960 0.4960 0.2376
Li 0.5040 0.5040 0.7624
Li 0.8315 0.8315 0.5839
Li 0.8418 0.8418 0.0806
Mn 0.0000 0.0000 0.5000
Mn 0.3312 0.3312 0.3342
Mn 0.3392 0.3392 0.8388
Mn 0.6608 0.6608 0.1612
Mn 0.6688 0.6688 0.6658
O 0.0804 0.0804 0.6983
O 0.0932 0.0932 0.2019
O 0.2436 0.2436 0.1388
O 0.2525 0.2525 0.6362
O 0.4081 0.4081 0.0291
O 0.4132 0.4132 0.5300
O 0.5868 0.5868 0.4700
O 0.5919 0.5919 0.9709
O 0.7475 0.7475 0.3638
O 0.7564 0.7564 0.8612
O 0.9068 0.9068 0.7981
O 0.9196 0.9196 0.3017